Starting from a PBE+U-relaxed structure, the X-ray powder pattern of Fe5O3F7 was simulated for Cu Kα.

Largest 6 diffraction maxima, by angle, 2θ = 10–80°:
two_theta	I_rel
25.9	100
26.6	94
34.5	74
51.4	30
51.6	31
52.3	40

Structure:
```
Fe5O3F7
1.0
4.7892 0.0000 0.0000
0.1261 4.8000 0.0000
0.0423 0.0425 15.4413
Fe O F
10 6 14
Cartesian
0.0000 0.0000 0.0000 Fe
0.2458 4.6963 12.3629 Fe
0.2076 0.1252 9.3230 Fe
2.3326 2.4653 10.7087 Fe
2.3971 2.5442 13.8964 Fe
2.4788 2.4213 7.7206 Fe
2.5604 2.2983 1.5449 Fe
2.6249 2.3773 4.7326 Fe
4.7500 4.7174 6.1183 Fe
4.7118 0.1462 3.0784 Fe
1.0066 3.9630 13.9440 O
1.0843 3.9069 10.8752 O
1.6155 1.5936 9.2249 O
3.3420 3.2489 6.2164 O
3.8732 0.9356 4.5661 O
3.9510 0.8795 1.4973 O
1.0735 3.8808 7.6941 F
1.0688 3.7963 4.5102 F
1.0855 3.8248 1.5652 F
1.4960 1.5011 12.3196 F
1.4815 1.4457 6.1852 F
1.4743 1.4349 0.0043 F
1.5169 1.4478 3.1401 F
3.4407 3.3947 12.3011 F
3.4832 3.4076 15.4370 F
3.4760 3.3968 9.2561 F
3.4616 3.3414 3.1217 F
3.8720 1.0177 13.8761 F
3.8887 1.0463 10.9311 F
3.8840 0.9618 7.7471 F
```

***

Starting from a PBE+U-relaxed structure, the X-ray powder pattern of Fe4O7F was simulated for Cu Kα.

Largest 6 diffraction maxima, by angle, 2θ = 10–80°:
two_theta	I_rel
27.1	100
35.7	51
53.7	29
53.7	29
56.0	16
68.2	15

Structure:
```
Fe4O7F
1.0
7.5707 0.0000 0.0000
0.0000 4.6425 0.0000
-1.8813 0.0000 7.3509
Fe O F
8 14 2
Cartesian
0.0212 0.0000 1.3502 Fe
0.3544 2.3713 4.0975 Fe
0.6227 4.6166 6.8134 Fe
2.7559 2.4764 2.3350 Fe
2.9335 0.1552 5.0158 Fe
5.0668 2.2953 0.5375 Fe
5.3351 0.0501 3.2534 Fe
5.6682 2.3212 6.0007 Fe
-0.5631 0.9190 2.9888 O
-1.1289 3.8004 7.0987 O
-0.1888 1.4473 5.7239 O
0.9952 3.2615 2.4715 O
1.3264 3.7858 5.2014 O
2.0671 1.5145 3.8564 O
3.3288 3.2645 0.6862 O
2.3607 0.9433 6.6647 O
3.6223 3.8357 3.4945 O
4.3630 1.4646 2.1495 O
4.6942 0.9403 4.8794 O
5.8783 3.7686 1.6270 O
6.8184 1.4792 0.2522 O
6.2526 3.2403 4.3621 O
1.8386 0.9564 1.1516 F
3.8509 3.2776 6.1993 F
```

***

Starting from a PBE+U-relaxed structure, the X-ray powder pattern of Fe2O2F5 was simulated for Cu Kα.

Largest 6 diffraction maxima, by angle, 2θ = 10–80°:
two_theta	I_rel
17.6	100
19.6	29
28.1	83
28.4	28
35.7	46
51.6	47

Structure:
```
Fe2O2F5
1.0
-3.8267 5.6869 2.8040
3.8267 -5.6869 2.8040
3.8267 5.6869 -2.8040
Fe O F
4 4 10
Cartesian
0.0000 0.0000 0.0000 Fe
-1.9134 2.8434 1.4020 Fe
0.0000 5.6869 0.0000 Fe
1.9134 2.8434 1.4020 Fe
3.8267 -0.3991 0.4789 O
3.8267 5.2878 -0.4789 O
0.0000 0.3991 3.2829 O
0.0000 6.0859 2.3252 O
1.3891 1.4378 0.1377 F
6.2644 1.4378 0.1377 F
3.8267 2.8434 0.7770 F
1.3891 4.2491 0.1377 F
2.4376 -1.4378 2.9418 F
1.3891 7.1246 -0.1377 F
2.4376 1.4378 2.6663 F
0.0000 2.8434 2.0270 F
-2.4376 4.2491 2.6663 F
2.4376 4.2491 2.6663 F
```

***

Starting from a PBE+U-relaxed structure, the X-ray powder pattern of Fe5O3F7 was simulated for Cu Kα.

Largest 6 diffraction maxima, by angle, 2θ = 10–80°:
two_theta	I_rel
25.9	91
26.5	95
34.1	100
51.2	42
51.9	53
65.4	24

Structure:
```
Fe5O3F7
1.0
4.7995 0.0000 0.0000
0.1079 4.8060 0.0000
0.0341 0.0133 15.7016
Fe O F
10 6 14
Cartesian
0.0000 0.0000 0.0000 Fe
0.1275 4.7740 6.5562 Fe
0.2177 4.7481 12.8866 Fe
0.2080 0.1010 3.4406 Fe
2.2815 2.5107 4.8345 Fe
2.3495 2.5568 11.2401 Fe
2.4685 2.3563 1.8360 Fe
2.5233 2.3909 14.3636 Fe
2.6380 2.2489 8.0810 Fe
4.8172 0.0212 9.7350 Fe
0.9547 3.9881 11.1923 O
1.0002 3.9443 4.9902 O
1.0879 3.8502 14.3781 O
1.4843 1.5075 3.4426 O
3.9442 0.9271 14.3191 O
4.0275 0.8091 8.0424 O
1.0447 3.9112 1.8584 F
1.1313 3.7796 8.0353 F
1.4608 1.4258 12.7574 F
1.4486 1.3725 0.3229 F
1.4661 1.4204 9.6113 F
1.5029 1.4581 6.4023 F
3.4406 3.3415 6.3731 F
3.4658 3.4651 3.4530 F
3.5047 3.4270 12.7554 F
3.4986 3.4029 9.6085 F
3.5004 3.3932 0.3572 F
3.8341 1.0352 11.1591 F
3.8673 1.0155 4.9532 F
3.9632 0.8985 1.8445 F
```

***

Starting from a PBE+U-relaxed structure, the X-ray powder pattern of Fe4O7F was simulated for Cu Kα.

Largest 6 diffraction maxima, by angle, 2θ = 10–80°:
two_theta	I_rel
26.7	98
27.7	93
35.6	100
53.1	59
54.3	54
68.2	39

Structure:
```
Fe4O7F
1.0
3.0081 -6.6842 0.0000
3.0081 6.6842 0.0000
0.0000 0.0000 6.4416
Fe O F
8 14 2
Cartesian
3.0081 5.0842 4.8312 Fe
1.4615 1.6065 4.8312 Fe
1.4615 -1.6065 1.6104 Fe
3.0081 1.6736 1.6104 Fe
3.0081 -1.6736 4.8312 Fe
4.5547 1.6065 4.8312 Fe
4.5547 -1.6065 1.6104 Fe
3.0081 -5.0842 1.6104 Fe
3.0081 6.3241 1.6104 O
1.5233 1.6848 0.3659 O
1.5233 1.6848 2.8549 O
3.0081 3.7655 1.6104 O
1.5233 -1.6848 3.5866 O
1.5233 -1.6848 6.0757 O
3.0081 0.4318 4.8312 O
3.0081 -0.4318 1.6104 O
4.4929 1.6848 0.3659 O
4.4929 1.6848 2.8549 O
3.0081 -3.7655 4.8312 O
4.4929 -1.6848 3.5866 O
4.4929 -1.6848 6.0757 O
3.0081 -6.3241 4.8312 O
3.0081 2.9850 4.8312 F
3.0081 -2.9850 1.6104 F
```

***

Starting from a PBE+U-relaxed structure, the X-ray powder pattern of Fe5O2F8 was simulated for Cu Kα.

Largest 6 diffraction maxima, by angle, 2θ = 10–80°:
two_theta	I_rel
25.5	100
26.7	88
33.7	53
33.8	48
50.5	50
65.1	26

Structure:
```
Fe5O2F8
1.0
4.8346 0.0000 0.0000
0.1635 8.0005 0.0000
0.4303 3.3112 9.5847
Fe O F
10 4 16
Cartesian
0.0000 0.0000 0.0000 Fe
0.1944 5.4461 1.8571 Fe
0.2642 2.9020 3.7493 Fe
2.5849 3.2273 6.8302 Fe
2.3894 2.8297 1.0646 Fe
2.7142 5.6558 4.7923 Fe
3.0390 8.4820 8.5200 Fe
2.8435 8.0844 2.7544 Fe
5.1642 8.4096 5.8353 Fe
5.2341 5.8656 7.7276 Fe
1.2863 4.0853 7.8855 O
1.0625 3.7921 2.1561 O
4.3659 7.5196 7.4286 O
4.1421 7.2264 1.6992 O
1.3326 6.4321 5.9786 F
1.3412 8.9753 4.0532 F
1.1559 6.0499 0.1748 F
1.8805 6.6843 8.7992 F
1.6985 6.4331 3.0322 F
1.9613 9.3923 6.8390 F
1.5849 0.8357 1.2783 F
1.7881 3.7582 5.0829 F
3.6403 7.5535 4.5017 F
3.8435 10.4760 8.3064 F
3.4671 1.9194 2.7456 F
3.7299 4.8786 6.5524 F
3.5479 4.6274 0.7855 F
4.2725 5.2617 9.4098 F
4.0872 2.3364 5.5315 F
4.0958 4.8796 3.6061 F
```

***

Starting from a PBE+U-relaxed structure, the X-ray powder pattern of Fe3O2F4 was simulated for Cu Kα.

Largest 6 diffraction maxima, by angle, 2θ = 10–80°:
two_theta	I_rel
25.3	100
26.8	95
34.3	52
34.7	50
50.9	33
51.9	22

Structure:
```
Fe3O2F4
1.0
4.8297 0.0000 0.0000
0.2495 5.7768 0.0000
0.3246 0.7631 7.7706
Fe O F
6 4 8
Cartesian
0.0000 0.0000 0.0000 Fe
0.3526 3.9591 2.5461 Fe
0.4906 2.1878 5.1433 Fe
2.8353 5.2713 5.2283 Fe
2.6525 1.0965 2.5354 Fe
3.0428 3.4290 7.6939 Fe
1.1807 2.4166 3.3728 O
1.3112 0.6194 5.9787 O
4.3981 2.2705 6.8620 O
4.3630 5.5297 1.7709 O
1.2932 3.9607 0.7188 F
1.5811 1.0578 0.7407 F
1.9251 3.5933 5.8508 F
1.9170 5.1590 3.4292 F
3.6705 0.9882 4.4232 F
3.9616 5.2087 6.8887 F
3.7034 2.7812 1.8184 F
4.2323 4.0155 4.4121 F
```

***

Starting from a PBE+U-relaxed structure, the X-ray powder pattern of Fe6OF11 was simulated for Cu Kα.

Largest 6 diffraction maxima, by angle, 2θ = 10–80°:
two_theta	I_rel
25.9	89
26.2	89
33.7	100
50.9	59
51.3	57
64.9	41

Structure:
```
Fe6OF11
1.0
3.1835 0.0000 0.0000
0.0000 3.4357 10.1871
0.0000 -3.4357 10.1871
Fe O F
6 1 11
Cartesian
0.0000 0.0000 0.0000 Fe
0.0000 0.0000 6.6055 Fe
0.0000 0.0000 13.5144 Fe
1.5918 0.0000 3.4635 Fe
1.5918 0.0000 10.0858 Fe
1.5918 0.0000 16.9334 Fe
1.5918 0.0000 5.4860 O
0.0000 -2.0054 6.7701 F
0.0000 -1.3764 10.0762 F
0.0000 -2.0546 13.4964 F
0.0000 2.0054 6.7701 F
0.0000 1.3764 10.0762 F
0.0000 2.0546 13.4964 F
1.5918 0.0000 1.3588 F
1.5918 0.0000 7.9507 F
1.5918 0.0000 12.1138 F
1.5918 0.0000 14.9137 F
1.5918 0.0000 18.9653 F
```

***

Starting from a PBE+U-relaxed structure, the X-ray powder pattern of Fe2O3F was simulated for Cu Kα.

Largest 6 diffraction maxima, by angle, 2θ = 10–80°:
two_theta	I_rel
25.8	100
27.9	93
35.4	98
52.0	59
54.3	53
67.4	39

Structure:
```
Fe2O3F
1.0
3.0147 0.0000 0.0000
0.0000 6.4066 0.0000
0.0000 0.0000 6.9055
Fe O F
4 6 2
Cartesian
0.0000 0.0000 0.0000 Fe
0.0000 3.2033 3.4528 Fe
1.5073 0.0000 3.1942 Fe
1.5073 3.2033 6.6470 Fe
0.0000 0.0000 1.9898 O
0.0000 3.2033 5.4425 O
1.5073 1.2338 6.7734 O
1.5073 1.9695 3.3207 O
1.5073 4.4372 3.3207 O
1.5073 5.1728 6.7734 O
0.0000 0.0000 4.6330 F
0.0000 3.2033 1.1802 F
```

***

Starting from a PBE+U-relaxed structure, the X-ray powder pattern of Fe5O3F7 was simulated for Cu Kα.

Largest 6 diffraction maxima, by angle, 2θ = 10–80°:
two_theta	I_rel
26.1	96
26.4	96
34.3	100
51.6	30
51.8	28
51.9	28

Structure:
```
Fe5O3F7
1.0
3.4183 -3.3756 0.0000
3.4183 3.3756 0.0000
-0.0657 0.0000 15.6128
Fe O F
10 6 14
Cartesian
0.0000 0.0000 0.0000 Fe
3.1572 3.1477 9.4247 Fe
3.3734 3.1975 3.1215 Fe
3.3975 3.1975 12.4914 Fe
3.6137 3.1477 6.1881 Fe
3.3338 0.0476 4.8139 Fe
3.4372 0.0476 10.7989 Fe
3.3855 -0.2134 7.8064 Fe
3.4110 -0.3448 1.5888 Fe
3.3599 -0.3448 14.0240 Fe
3.3570 1.9644 11.0256 O
3.4139 1.9644 4.5873 O
2.1308 -0.1466 6.2304 O
4.6401 -0.1466 9.3825 O
3.4057 -2.3458 1.5992 O
3.3652 -2.3458 14.0136 O
3.3855 1.9247 7.8064 F
3.4041 1.8148 1.5382 F
3.3669 1.8148 14.0746 F
1.9775 -0.1490 9.4101 F
2.0383 -0.1516 3.1997 F
2.0200 -0.1519 12.3862 F
1.9379 -0.2290 15.6103 F
4.7509 -0.1519 3.2266 F
4.7326 -0.1516 12.4131 F
4.7935 -0.1490 6.2027 F
4.8330 -0.2290 0.0025 F
3.3438 -2.1396 11.0102 F
3.4271 -2.1396 4.6026 F
3.3855 -2.3336 7.8064 F
```

***

- Which formula does entry 8 have?
  Fe6OF11